Record 1
This entry pairs a crystal structure of RbGaGeTe3 with its theoretical powder XRD pattern. Radiation: Cu Ka. Structure: a structure optimized by DFT (PBE).

Top 10 peaks for 15 to 90 degrees two-theta, low angle first:
| d/Å | Position (°2θ) | Rel. int. |
| --- | --- | --- |
| 3.701 | 24.0 | 178 |
| 3.412 | 26.1 | 407 |
| 3.282 | 27.2 | 1000 |
| 3.183 | 28.0 | 266 |
| 2.871 | 31.2 | 255 |
| 2.438 | 36.9 | 141 |
| 2.293 | 39.3 | 348 |
| 2.221 | 40.6 | 286 |
| 2.028 | 44.7 | 266 |
| 1.856 | 49.1 | 208 |

```
RbGaGeTe3
1.0
9.781 0.000 0.000
0.000 4.442 0.000
-3.937 0.000 10.218
Rb Ga Ge Te
2 2 2 6
Direct
0.221 0.250 0.238
0.779 0.750 0.762
0.081 0.250 0.631
0.919 0.750 0.369
0.341 0.750 0.883
0.659 0.250 0.117
0.109 0.250 0.872
0.198 0.750 0.554
0.472 0.750 0.151
0.528 0.250 0.849
0.802 0.250 0.446
0.891 0.750 0.128
```



Record 2
This entry pairs a crystal structure of HIrS2 with its theoretical powder XRD pattern. Radiation: Cu Ka. Structure: a structure optimized by DFT (PBE).

Top 10 peaks for 15 to 90 degrees two-theta, low angle first:
| d/Å | Position (°2θ) | Rel. int. |
| --- | --- | --- |
| 3.857 | 23.1 | 1000 |
| 3.089 | 28.9 | 349 |
| 3.000 | 29.8 | 520 |
| 2.867 | 31.2 | 186 |
| 2.073 | 43.7 | 388 |
| 1.992 | 45.5 | 472 |
| 1.929 | 47.1 | 190 |
| 1.794 | 50.9 | 117 |
| 1.695 | 54.1 | 173 |
| 1.656 | 55.5 | 191 |

```
HIrS2
1.0
3.667 0.000 0.000
0.000 5.214 0.000
0.000 0.000 5.733
H Ir S
2 2 4
Direct
0.000 0.243 0.000
0.500 0.757 0.500
0.000 0.250 0.502
0.500 0.750 0.002
0.000 0.507 0.154
0.000 0.992 0.850
0.500 0.008 0.350
0.500 0.493 0.654
```



Repeat the second record exactly.
This entry pairs a crystal structure of HIrS2 with its theoretical powder XRD pattern. Radiation: Cu Ka. Structure: a structure optimized by DFT (PBE).

Top 10 peaks for 15 to 90 degrees two-theta, low angle first:
| d/Å | Position (°2θ) | Rel. int. |
| --- | --- | --- |
| 3.857 | 23.1 | 1000 |
| 3.089 | 28.9 | 349 |
| 3.000 | 29.8 | 520 |
| 2.867 | 31.2 | 186 |
| 2.073 | 43.7 | 388 |
| 1.992 | 45.5 | 472 |
| 1.929 | 47.1 | 190 |
| 1.794 | 50.9 | 117 |
| 1.695 | 54.1 | 173 |
| 1.656 | 55.5 | 191 |

```
HIrS2
1.0
3.667 0.000 0.000
0.000 5.214 0.000
0.000 0.000 5.733
H Ir S
2 2 4
Direct
0.000 0.243 0.000
0.500 0.757 0.500
0.000 0.250 0.502
0.500 0.750 0.002
0.000 0.507 0.154
0.000 0.992 0.850
0.500 0.008 0.350
0.500 0.493 0.654
```